The following is a computed PXRD pattern of SrMg6SnO8. It was derived from DFT lattice parameters and positions (GGA-PBE), using Cu Kα, 1.54184 Å.
Kinematic intensities with the Lorentz-polarization factor, no thermal factor.

Atomic structure:
a b c (Å): 4.6135 4.6135 9.1652
angles (deg): 90.00 90.00 90.00
Atoms (fractional coordinates):
Sr 0.0000 0.0000 0.0000
Mg 0.0000 0.5000 0.2497
Mg 0.0000 0.5000 0.7503
Mg 0.5000 0.0000 0.2497
Mg 0.5000 0.0000 0.7503
Mg 0.5000 0.5000 0.0000
Mg 0.5000 0.5000 0.5000
Sn 0.0000 0.0000 0.5000
O 0.0000 0.0000 0.2541
O 0.0000 0.0000 0.7459
O 0.0000 0.5000 0.0000
O 0.0000 0.5000 0.5000
O 0.5000 0.0000 0.0000
O 0.5000 0.0000 0.5000
O 0.5000 0.5000 0.2512
O 0.5000 0.5000 0.7488

Main lines, by angle (2θ from 10° to 90°):
h k l  2theta  intensity
1 0 0  19.24  60
1 1 0  27.40  78
1 1 2  33.73  65
2 0 0  39.05  100
0 0 4  39.32  49
2 0 4  56.62  62